Record 1
ZrIr2O2: theoretical PXRD pattern (Cu Kα X-rays), based on the GGA-PBE geometry in OQMD.

Peak list (10 most intense, 10° ≤ 2θ ≤ 90°, in order of rising 2θ)
two_theta	d_spacing	I/Imax
25.48	3.496	526
26.82	3.325	732
30.50	2.931	709
33.32	2.689	678
35.88	2.503	533
42.41	2.131	323
44.91	2.018	1000
57.06	1.614	880
82.84	1.165	166
87.10	1.119	249

```
ZrIr2O2
1.0
4.037 0.000 0.000
-2.018 3.496 0.000
0.000 0.000 10.755
Zr Ir O
2 4 4
direct
0.000 0.000 0.250
0.000 0.000 0.750
0.000 0.000 0.000
0.000 0.000 0.500
0.333 0.667 0.250
0.667 0.333 0.750
0.333 0.667 0.559
0.333 0.667 0.941
0.667 0.333 0.059
0.667 0.333 0.441
```

---

Record 2
PrIn2SnPt4: theoretical PXRD pattern (Cu Kα X-rays), based on the GGA-PBE geometry in OQMD.

Peak list (10 most intense, 10° ≤ 2θ ≤ 90°, in order of rising 2θ)
two_theta	d_spacing	I/Imax
23.80	3.738	239
23.93	3.718	244
24.10	3.693	248
28.85	3.094	219
28.99	3.080	229
40.37	2.234	1000
40.52	2.226	468
41.83	2.159	349
42.13	2.145	329
42.37	2.133	323

```
PrIn2SnPt4
1.0
4.319 0.000 0.000
0.000 5.581 0.000
-0.046 0.000 7.386
Pr In Sn Pt
1 2 1 4
direct
0.000 0.000 0.000
0.004 0.500 0.335
0.499 0.000 0.510
0.502 0.500 0.830
0.001 0.253 0.659
0.001 0.747 0.659
0.502 0.256 0.184
0.502 0.744 0.184
```

---

Record 3
BiPt13: theoretical PXRD pattern (Cu Kα X-rays), based on the GGA-PBE geometry in OQMD.

Peak list (10 most intense, 10° ≤ 2θ ≤ 90°, in order of rising 2θ)
two_theta	d_spacing	I/Imax
36.57	2.457	610
39.07	2.306	519
39.17	2.300	1000
39.80	2.265	992
40.82	2.211	423
41.92	2.155	358
45.47	1.995	326
45.96	1.975	332
46.09	1.969	299
46.33	1.960	318

```
BiPt13
1.0
4.358 -1.975 0.000
4.358 1.975 0.000
-0.008 0.000 26.921
Bi Pt
1 13
direct
0.000 0.000 0.000
0.007 0.007 0.661
0.105 0.105 0.758
0.205 0.205 0.858
0.296 0.296 0.622
0.306 0.306 0.959
0.404 0.404 0.725
0.507 0.507 0.825
0.603 0.603 0.589
0.608 0.608 0.928
0.708 0.708 0.691
0.807 0.807 0.791
0.905 0.905 0.891
0.909 0.909 0.566
```

---

Record 4
Nd2Bi: theoretical PXRD pattern (Cu Kα X-rays), based on the GGA-PBE geometry in OQMD.

Peak list (10 most intense, 10° ≤ 2θ ≤ 90°, in order of rising 2θ)
two_theta	d_spacing	I/Imax
27.58	3.234	381
32.46	2.758	1000
33.95	2.640	293
48.77	1.867	167
51.95	1.760	360
56.95	1.617	298
67.10	1.395	127
67.98	1.379	117
78.20	1.222	88
80.69	1.191	231

```
Nd2Bi
1.0
0.000 4.573 4.573
4.573 0.000 4.573
4.573 4.573 0.000
Nd Bi
4 2
direct
0.000 0.000 0.000
0.000 0.000 0.500
0.000 0.500 0.000
0.500 0.000 0.000
0.375 0.375 0.375
0.625 0.625 0.625
```

---

Record 5
Pu3Zn4: theoretical PXRD pattern (Cu Kα X-rays), based on the GGA-PBE geometry in OQMD.

Peak list (10 most intense, 10° ≤ 2θ ≤ 90°, in order of rising 2θ)
two_theta	d_spacing	I/Imax
11.67	7.580	223
23.47	3.790	196
31.22	2.865	123
32.01	2.796	927
38.20	2.356	1000
41.26	2.188	328
43.72	2.070	239
52.63	1.739	139
61.68	1.504	205
65.58	1.424	230

```
Pu3Zn4
1.0
4.141 0.000 0.000
0.000 7.587 4.372
0.000 -7.587 4.372
Pu Zn
6 8
direct
0.250 0.071 0.929
0.250 0.073 0.363
0.250 0.505 0.359
0.750 0.359 0.505
0.750 0.363 0.073
0.750 0.929 0.071
0.250 0.328 0.775
0.250 0.658 0.769
0.250 0.664 0.106
0.250 0.883 0.551
0.750 0.106 0.664
0.750 0.551 0.883
0.750 0.769 0.658
0.750 0.775 0.328
```

---

Record 6
Nd4I5N2: theoretical PXRD pattern (Cu Kα X-rays), based on the GGA-PBE geometry in OQMD.

Peak list (10 most intense, 10° ≤ 2θ ≤ 90°, in order of rising 2θ)
two_theta	d_spacing	I/Imax
27.33	3.263	311
27.79	3.211	709
29.70	3.008	264
30.43	2.937	1000
32.58	2.749	235
34.71	2.584	216
41.59	2.171	353
41.76	2.163	396
46.05	1.971	196
54.64	1.680	217

```
Nd4I5N2
1.0
9.893 -1.971 0.000
9.893 1.971 0.000
-2.009 0.000 8.575
Nd I N
4 5 2
direct
0.000 0.000 0.185
0.000 0.000 0.815
0.347 0.347 0.919
0.653 0.653 0.081
0.162 0.162 0.366
0.170 0.170 0.805
0.500 0.500 0.500
0.830 0.830 0.195
0.838 0.838 0.634
0.465 0.465 0.982
0.535 0.535 0.018
```

---

What did the third record say?
BiPt13: theoretical PXRD pattern (Cu Kα X-rays), based on the GGA-PBE geometry in OQMD.

Peak list (10 most intense, 10° ≤ 2θ ≤ 90°, in order of rising 2θ)
two_theta	d_spacing	I/Imax
36.57	2.457	610
39.07	2.306	519
39.17	2.300	1000
39.80	2.265	992
40.82	2.211	423
41.92	2.155	358
45.47	1.995	326
45.96	1.975	332
46.09	1.969	299
46.33	1.960	318

```
BiPt13
1.0
4.358 -1.975 0.000
4.358 1.975 0.000
-0.008 0.000 26.921
Bi Pt
1 13
direct
0.000 0.000 0.000
0.007 0.007 0.661
0.105 0.105 0.758
0.205 0.205 0.858
0.296 0.296 0.622
0.306 0.306 0.959
0.404 0.404 0.725
0.507 0.507 0.825
0.603 0.603 0.589
0.608 0.608 0.928
0.708 0.708 0.691
0.807 0.807 0.791
0.905 0.905 0.891
0.909 0.909 0.566
```

---

Copy entry 2 word for word.
PrIn2SnPt4: theoretical PXRD pattern (Cu Kα X-rays), based on the GGA-PBE geometry in OQMD.

Peak list (10 most intense, 10° ≤ 2θ ≤ 90°, in order of rising 2θ)
two_theta	d_spacing	I/Imax
23.80	3.738	239
23.93	3.718	244
24.10	3.693	248
28.85	3.094	219
28.99	3.080	229
40.37	2.234	1000
40.52	2.226	468
41.83	2.159	349
42.13	2.145	329
42.37	2.133	323

```
PrIn2SnPt4
1.0
4.319 0.000 0.000
0.000 5.581 0.000
-0.046 0.000 7.386
Pr In Sn Pt
1 2 1 4
direct
0.000 0.000 0.000
0.004 0.500 0.335
0.499 0.000 0.510
0.502 0.500 0.830
0.001 0.253 0.659
0.001 0.747 0.659
0.502 0.256 0.184
0.502 0.744 0.184
```